Simulated X-ray powder pattern of CeNp4Sb5 for Cu Kα, 1.54184 Å, from a GGA-PBE-relaxed structure.
Intensities are scaled so that the largest is 100.

The 6 most intense peaks (2θ from 10° to 80°), low angle first:
- 3.126 Å, 28.6 deg, rel. 100
- 2.210 Å, 40.8 deg, rel. 51
- 1.809 Å, 50.5 deg, rel. 14
- 1.800 Å, 50.7 deg, rel. 14
- 1.398 Å, 66.9 deg, rel. 24
- 1.279 Å, 74.2 deg, rel. 14

Structure:
a = 4.436 Å, b = 6.252 Å, c = 22.023 Å
α = 90.00°, β = 90.00°, γ = 90.00°
Space group Immm (No. 71)
Asymmetric unit:
Ce 0.000 0.000 0.000
Np 0.000 0.000 0.202
Np 0.000 0.000 0.400
Sb 0.000 0.500 0.000
Sb 0.000 0.500 0.199
Sb 0.000 0.500 0.398